Entry 1:
NdGa8Fe2: calculated powder diffractogram (Cu Kα X-rays), based on a DFT-relaxed cell (GGA-PBE, the Materials Project).
Intensities are scaled so that the largest is 100.

```
data_NdGa8Fe2
_space_group_name_H-M_alt 'P 1'
_space_group_IT_number 1
_cell_length_a 12.689
_cell_length_b 14.364
_cell_length_c 4.043
_cell_angle_alpha 90.00
_cell_angle_beta 90.00
_cell_angle_gamma 90.00
loop_
_space_group_symop_operation_xyz
'x,y,z'
loop_
_atom_site_label
_atom_site_fract_x
_atom_site_fract_y
_atom_site_fract_z
Nd1 0.157 0.181 0.000
Nd2 0.343 0.681 0.000
Nd3 0.657 0.319 0.000
Nd4 0.843 0.819 0.000
Ga1 0.000 0.000 0.000
Ga2 0.000 0.500 0.500
Ga3 0.025 0.866 0.500
Ga4 0.049 0.319 0.500
Ga5 0.098 0.745 0.000
Ga6 0.163 0.621 0.500
Ga7 0.164 0.454 0.000
Ga8 0.169 0.011 0.500
Ga9 0.239 0.827 0.500
Ga10 0.261 0.327 0.500
Ga11 0.331 0.511 0.500
Ga12 0.336 0.954 0.000
Ga13 0.337 0.121 0.500
Ga14 0.402 0.245 0.000
Ga15 0.451 0.819 0.500
Ga16 0.475 0.366 0.500
Ga17 0.500 0.000 0.500
Ga18 0.500 0.500 0.000
Ga19 0.525 0.634 0.500
Ga20 0.549 0.181 0.500
Ga21 0.598 0.755 0.000
Ga22 0.663 0.879 0.500
Ga23 0.664 0.046 0.000
Ga24 0.669 0.489 0.500
Ga25 0.739 0.673 0.500
Ga26 0.761 0.173 0.500
Ga27 0.831 0.989 0.500
Ga28 0.836 0.546 0.000
Ga29 0.837 0.379 0.500
Ga30 0.902 0.255 0.000
Ga31 0.951 0.681 0.500
Ga32 0.975 0.134 0.500
Fe1 0.034 0.591 0.000
Fe2 0.151 0.903 0.000
Fe3 0.349 0.403 0.000
Fe4 0.466 0.091 0.000
Fe5 0.534 0.909 0.000
Fe6 0.651 0.597 0.000
Fe7 0.849 0.097 0.000
Fe8 0.966 0.409 0.000
```

The 10 most intense peaks (2θ from 5° to 70°), low angle first:
| 2theta | I_rel |
| --- | --- |
| 34.13 | 60.9 |
| 36.00 | 100.0 |
| 36.54 | 30.5 |
| 37.58 | 15.4 |
| 43.67 | 23.8 |
| 43.96 | 33.1 |
| 44.21 | 21.6 |
| 44.83 | 49.5 |
| 46.51 | 24.9 |
| 66.59 | 16.4 |

---

Entry 2:
Ga4Ni3: calculated powder diffractogram (Cu Kα X-rays), based on a DFT-relaxed cell (GGA-PBE, the Materials Project).
Intensities are scaled so that the largest is 100.

```
data_Ga4Ni3
_space_group_name_H-M_alt 'P 1'
_space_group_IT_number 1
_cell_length_a 9.942
_cell_length_b 9.942
_cell_length_c 9.942
_cell_angle_alpha 109.47
_cell_angle_beta 109.47
_cell_angle_gamma 109.47
loop_
_space_group_symop_operation_xyz
'x,y,z'
loop_
_atom_site_label
_atom_site_fract_x
_atom_site_fract_y
_atom_site_fract_z
Ga1 0.000 0.000 0.000
Ga2 0.000 0.000 0.500
Ga3 0.000 0.500 0.000
Ga4 0.000 0.500 0.500
Ga5 0.012 0.250 0.262
Ga6 0.012 0.262 0.750
Ga7 0.238 0.250 0.488
Ga8 0.238 0.488 0.750
Ga9 0.250 0.262 0.012
Ga10 0.250 0.488 0.238
Ga11 0.250 0.762 0.512
Ga12 0.250 0.988 0.738
Ga13 0.262 0.012 0.250
Ga14 0.262 0.750 0.012
Ga15 0.488 0.238 0.250
Ga16 0.488 0.750 0.238
Ga17 0.500 0.000 0.000
Ga18 0.500 0.000 0.500
Ga19 0.500 0.500 0.000
Ga20 0.500 0.500 0.500
Ga21 0.512 0.250 0.762
Ga22 0.512 0.762 0.750
Ga23 0.738 0.250 0.988
Ga24 0.738 0.988 0.750
Ga25 0.750 0.012 0.262
Ga26 0.750 0.238 0.488
Ga27 0.750 0.512 0.762
Ga28 0.750 0.738 0.988
Ga29 0.762 0.512 0.250
Ga30 0.762 0.750 0.512
Ga31 0.988 0.738 0.250
Ga32 0.988 0.750 0.738
Ni1 0.008 0.016 0.758
Ni2 0.008 0.492 0.250
Ni3 0.016 0.758 0.008
Ni4 0.242 0.750 0.258
Ni5 0.242 0.992 0.984
Ni6 0.250 0.008 0.492
Ni7 0.250 0.742 0.758
Ni8 0.258 0.242 0.750
Ni9 0.258 0.516 0.508
Ni10 0.484 0.492 0.742
Ni11 0.492 0.250 0.008
Ni12 0.492 0.742 0.484
Ni13 0.508 0.258 0.516
Ni14 0.508 0.750 0.992
Ni15 0.516 0.508 0.258
Ni16 0.742 0.484 0.492
Ni17 0.742 0.758 0.250
Ni18 0.750 0.258 0.242
Ni19 0.750 0.992 0.508
Ni20 0.758 0.008 0.016
Ni21 0.758 0.250 0.742
Ni22 0.984 0.242 0.992
Ni23 0.992 0.508 0.750
Ni24 0.992 0.984 0.242
```

The 10 most intense peaks (2θ from 5° to 70°), low angle first:
| 2theta | I_rel |
| --- | --- |
| 18.94 | 6.5 |
| 29.11 | 8.1 |
| 31.16 | 5.6 |
| 43.16 | 7.6 |
| 44.65 | 100.0 |
| 48.91 | 4.2 |
| 55.45 | 1.5 |
| 59.14 | 1.6 |
| 64.99 | 14.6 |
| 68.37 | 2.2 |

---

Entry 3:
Na2ZrSi4H4O13: calculated powder diffractogram (Cu Kα X-rays), based on a DFT-relaxed cell (GGA-PBE, the Materials Project).
Intensities are scaled so that the largest is 100.

```
data_Na2ZrSi4H4O13
_space_group_name_H-M_alt 'P 1'
_space_group_IT_number 1
_cell_length_a 9.236
_cell_length_b 8.932
_cell_length_c 7.658
_cell_angle_alpha 90.00
_cell_angle_beta 112.85
_cell_angle_gamma 90.00
loop_
_space_group_symop_operation_xyz
'x,y,z'
loop_
_atom_site_label
_atom_site_fract_x
_atom_site_fract_y
_atom_site_fract_z
Na1 0.209 0.188 0.211
Na2 0.209 0.312 0.711
Na3 0.791 0.688 0.289
Na4 0.791 0.812 0.789
Zr1 0.000 0.000 0.500
Zr2 0.000 0.500 0.000
Si1 0.169 0.658 0.699
Si2 0.169 0.842 0.199
Si3 0.319 0.559 0.411
Si4 0.319 0.941 0.911
Si5 0.681 0.059 0.089
Si6 0.681 0.441 0.589
Si7 0.831 0.158 0.801
Si8 0.831 0.342 0.301
H1 0.350 0.101 0.597
H2 0.350 0.399 0.097
H3 0.488 0.198 0.581
H4 0.488 0.302 0.081
H5 0.512 0.698 0.919
H6 0.512 0.802 0.419
H7 0.650 0.601 0.903
H8 0.650 0.899 0.403
O1 0.027 0.733 0.066
O2 0.027 0.767 0.566
O3 0.116 0.534 0.816
O4 0.116 0.966 0.316
O5 0.217 0.042 0.730
O6 0.217 0.458 0.230
O7 0.249 0.555 0.578
O8 0.249 0.945 0.078
O9 0.316 0.736 0.345
O10 0.316 0.764 0.845
O11 0.373 0.185 0.530
O12 0.373 0.315 0.030
O13 0.500 0.000 0.000
O14 0.500 0.500 0.500
O15 0.627 0.685 0.970
O16 0.627 0.815 0.470
O17 0.684 0.236 0.155
O18 0.684 0.264 0.655
O19 0.751 0.055 0.922
O20 0.751 0.445 0.422
O21 0.783 0.542 0.770
O22 0.783 0.958 0.270
O23 0.884 0.034 0.684
O24 0.884 0.466 0.184
O25 0.973 0.233 0.434
O26 0.973 0.267 0.934
```

The 10 most intense peaks (2θ from 5° to 70°), low angle first:
| 2theta | I_rel |
| --- | --- |
| 10.39 | 100.0 |
| 16.22 | 71.1 |
| 19.88 | 14.4 |
| 21.65 | 57.7 |
| 25.79 | 67.9 |
| 27.77 | 18.9 |
| 30.14 | 61.0 |
| 31.88 | 27.5 |
| 32.75 | 55.7 |
| 40.47 | 17.0 |

---

Entry 4:
CdH2O2: calculated powder diffractogram (Cu Kα X-rays), based on a DFT-relaxed cell (GGA-PBE, the Materials Project).
Intensities are scaled so that the largest is 100.

```
data_CdH2O2
_space_group_name_H-M_alt 'P 1'
_space_group_IT_number 1
_cell_length_a 3.840
_cell_length_b 3.840
_cell_length_c 4.441
_cell_angle_alpha 90.00
_cell_angle_beta 90.00
_cell_angle_gamma 120.00
loop_
_space_group_symop_operation_xyz
'x,y,z'
loop_
_atom_site_label
_atom_site_fract_x
_atom_site_fract_y
_atom_site_fract_z
Cd1 0.000 0.000 0.000
H1 0.333 0.667 0.445
H2 0.667 0.333 0.021
O1 0.333 0.667 0.225
O2 0.667 0.333 0.799
```

The 10 most intense peaks (2θ from 5° to 70°), low angle first:
| 2theta | I_rel |
| --- | --- |
| 19.99 | 71.8 |
| 26.81 | 62.9 |
| 33.67 | 100.0 |
| 47.35 | 30.7 |
| 49.35 | 40.6 |
| 51.88 | 31.6 |
| 55.25 | 8.7 |
| 59.35 | 18.2 |
| 64.12 | 9.4 |
| 69.50 | 13.1 |

---

Entry 5:
Nd4Au2O9: calculated powder diffractogram (Cu Kα X-rays), based on a DFT-relaxed cell (GGA-PBE, the Materials Project).
Intensities are scaled so that the largest is 100.

```
data_Nd4Au2O9
_space_group_name_H-M_alt 'P 1'
_space_group_IT_number 1
_cell_length_a 12.062
_cell_length_b 6.212
_cell_length_c 12.076
_cell_angle_alpha 90.00
_cell_angle_beta 90.00
_cell_angle_gamma 90.00
loop_
_space_group_symop_operation_xyz
'x,y,z'
loop_
_atom_site_label
_atom_site_fract_x
_atom_site_fract_y
_atom_site_fract_z
Nd1 0.011 0.242 0.089
Nd2 0.011 0.758 0.589
Nd3 0.160 0.196 0.764
Nd4 0.160 0.804 0.264
Nd5 0.340 0.304 0.264
Nd6 0.340 0.696 0.764
Nd7 0.489 0.258 0.589
Nd8 0.489 0.742 0.089
Nd9 0.511 0.258 0.911
Nd10 0.511 0.742 0.411
Nd11 0.660 0.304 0.236
Nd12 0.660 0.696 0.736
Nd13 0.840 0.196 0.736
Nd14 0.840 0.804 0.236
Nd15 0.989 0.242 0.411
Nd16 0.989 0.758 0.911
Au1 0.229 0.420 0.511
Au2 0.229 0.580 0.011
Au3 0.271 0.080 0.011
Au4 0.271 0.920 0.511
Au5 0.729 0.080 0.489
Au6 0.729 0.920 0.989
Au7 0.771 0.420 0.989
Au8 0.771 0.580 0.489
O1 0.000 0.024 0.250
O2 0.000 0.976 0.750
O3 0.077 0.389 0.588
O4 0.077 0.611 0.088
O5 0.115 0.061 0.946
O6 0.115 0.939 0.446
O7 0.164 0.441 0.352
O8 0.164 0.559 0.852
O9 0.197 0.126 0.158
O10 0.197 0.874 0.658
O11 0.303 0.374 0.658
O12 0.303 0.626 0.158
O13 0.336 0.059 0.852
O14 0.336 0.941 0.352
O15 0.385 0.439 0.446
O16 0.385 0.561 0.946
O17 0.423 0.111 0.088
O18 0.423 0.889 0.588
O19 0.500 0.476 0.750
O20 0.500 0.524 0.250
O21 0.577 0.111 0.412
O22 0.577 0.889 0.912
O23 0.615 0.439 0.054
O24 0.615 0.561 0.554
O25 0.664 0.059 0.648
O26 0.664 0.941 0.148
O27 0.697 0.374 0.842
O28 0.697 0.626 0.342
O29 0.803 0.126 0.342
O30 0.803 0.874 0.842
O31 0.836 0.441 0.148
O32 0.836 0.559 0.648
O33 0.885 0.061 0.554
O34 0.885 0.939 0.054
O35 0.923 0.389 0.912
O36 0.923 0.611 0.412
```

The 10 most intense peaks (2θ from 5° to 70°), low angle first:
| 2theta | I_rel |
| --- | --- |
| 14.68 | 32.8 |
| 27.43 | 100.0 |
| 29.61 | 21.5 |
| 30.63 | 38.8 |
| 32.42 | 24.7 |
| 33.20 | 72.6 |
| 35.76 | 29.1 |
| 37.33 | 18.3 |
| 46.23 | 21.4 |
| 47.65 | 21.9 |

---

Entry 6:
NaTh2P3O12: calculated powder diffractogram (Cu Kα X-rays), based on a DFT-relaxed cell (GGA-PBE, the Materials Project).
Intensities are scaled so that the largest is 100.

```
data_NaTh2P3O12
_space_group_name_H-M_alt 'P 1'
_space_group_IT_number 1
_cell_length_a 9.433
_cell_length_b 9.433
_cell_length_c 8.254
_cell_angle_alpha 100.69
_cell_angle_beta 100.69
_cell_angle_gamma 42.59
loop_
_space_group_symop_operation_xyz
'x,y,z'
loop_
_atom_site_label
_atom_site_fract_x
_atom_site_fract_y
_atom_site_fract_z
Na1 0.099 0.901 0.500
Na2 0.901 0.099 0.000
Th1 0.262 0.456 0.828
Th2 0.456 0.262 0.328
Th3 0.578 0.753 0.400
Th4 0.753 0.578 0.900
P1 0.115 0.285 0.552
P2 0.285 0.115 0.052
P3 0.410 0.611 0.122
P4 0.611 0.410 0.622
P5 0.734 0.913 0.676
P6 0.913 0.734 0.176
O1 0.052 0.242 0.024
O2 0.061 0.366 0.738
O3 0.119 0.605 0.285
O4 0.239 0.726 0.977
O5 0.242 0.052 0.524
O6 0.248 0.323 0.537
O7 0.323 0.248 0.037
O8 0.332 0.732 0.293
O9 0.366 0.061 0.238
O10 0.394 0.488 0.609
O11 0.421 0.914 0.937
O12 0.488 0.394 0.109
O13 0.573 0.599 0.610
O14 0.599 0.573 0.110
O15 0.605 0.119 0.785
O16 0.666 0.954 0.487
O17 0.684 0.792 0.695
O18 0.726 0.239 0.477
O19 0.732 0.332 0.793
O20 0.776 0.970 0.206
O21 0.792 0.684 0.195
O22 0.914 0.421 0.437
O23 0.954 0.666 0.987
O24 0.970 0.776 0.706
```

The 10 most intense peaks (2θ from 5° to 70°), low angle first:
| 2theta | I_rel |
| --- | --- |
| 10.27 | 61.0 |
| 13.91 | 100.0 |
| 17.08 | 49.6 |
| 20.18 | 62.8 |
| 27.08 | 60.6 |
| 27.58 | 49.2 |
| 29.39 | 94.5 |
| 31.15 | 41.8 |
| 32.26 | 58.4 |
| 49.33 | 49.1 |